1.
The following is a simulated PXRD pattern of AcTl2GeSe4. It was derived from a crystal structure in Alexandria, relaxed with GGA-PBE, using Cu Kα (weighted mean of Kα1 and Kα2).

Most intense lines, 2θ = 15–90°, sorted by position:
hkl 0 2 2, 2θ = 24.5°, rel. 22
hkl 2 0 2, 2θ = 25.1°, rel. 19
hkl 2 2 0, 2θ = 28.6°, rel. 100
hkl 0 0 4, 2θ = 28.9°, rel. 49
hkl 0 4 0, 2θ = 40.1°, rel. 19
hkl 2 2 4, 2θ = 41.1°, rel. 73
hkl 4 0 0, 2θ = 41.6°, rel. 19
hkl 0 4 4, 2θ = 50.2°, rel. 19
hkl 4 0 4, 2θ = 51.5°, rel. 20
hkl 4 4 4, 2θ = 67.2°, rel. 16

Cell and atoms:
```
data_AcTl2GeSe4
_chemical_formula_sum 'Ac4 Tl8 Ge4 Se16'
_space_group_name_H-M_alt 'I m m a'
_space_group_IT_number 74
_space_group_name_Hall '-I 2b 2'
_cell_length_a 8.6772
_cell_length_b 8.9846
_cell_length_c 12.3499
_cell_angle_alpha 90.00
_cell_angle_beta 90.00
_cell_angle_gamma 90.00
loop_
_atom_site_label
_atom_site_type_symbol
_atom_site_fract_x
_atom_site_fract_y
_atom_site_fract_z
Ac1 Ac 0.0000 0.0000 0.0000
Tl1 Tl 0.0000 0.0000 0.5000
Tl2 Tl 0.2500 0.2500 0.2500
Ge1 Ge 0.2500 0.2500 0.7500
Se1 Se 0.0000 0.0337 0.7519
Se2 Se 0.2422 0.2500 0.9828
```

=====

2.
The following is a simulated PXRD pattern of Ac3Si2Ge4. It was derived from a crystal structure in Alexandria, relaxed with GGA-PBE, using Cu Kα (weighted mean of Kα1 and Kα2).

Most intense lines, 2θ = 15–90°, sorted by position:
hkl 2 0 -2, 2θ = 22.1°, rel. 19
hkl 1 1 -1, 2θ = 23.7°, rel. 30
hkl 4 0 -1, 2θ = 29.7°, rel. 25
hkl 0 0 3, 2θ = 29.8°, rel. 28
hkl 3 1 0, 2θ = 31.0°, rel. 100
hkl 3 1 -3, 2θ = 39.8°, rel. 37
hkl 4 0 2, 2θ = 39.9°, rel. 18
hkl 0 2 0, 2θ = 42.6°, rel. 15
hkl 0 2 3, 2θ = 52.8°, rel. 22
hkl 7 1 -1, 2θ = 57.6°, rel. 12

Cell and atoms:
```
data_Ac3Si2Ge4
_chemical_formula_sum 'Ac6 Si4 Ge8'
_space_group_name_H-M_alt 'C 1 2/m 1'
_space_group_IT_number 12
_cell_length_a 12.1059
_cell_length_b 4.2461
_cell_length_c 9.1982
_cell_angle_alpha 90.00
_cell_angle_beta 102.39
_cell_angle_gamma 90.00
loop_
_space_group_symop_operation_xyz
'x,y,z'
'-x,-y,-z'
'-x,y,-z'
'x,-y,z'
'x+1/2,y+1/2,z'
'-x+1/2,-y+1/2,-z'
'-x+1/2,y+1/2,-z'
'x+1/2,-y+1/2,z'
loop_
_atom_site_label
_atom_site_type_symbol
_atom_site_fract_x
_atom_site_fract_y
_atom_site_fract_z
Ac1 Ac 0.0000 0.0000 0.0000
Ac2 Ac 0.1667 0.5000 0.6642
Si1 Si 0.1185 0.5000 0.2820
Ge1 Ge 0.0517 0.0000 0.3787
Ge2 Ge 0.2154 0.5000 0.0589
```

=====

3.
The following is a simulated PXRD pattern of Ac12Si6Ge. It was derived from a crystal structure in Alexandria, relaxed with GGA-PBE, using Cu Kα (weighted mean of Kα1 and Kα2).

Most intense lines, 2θ = 15–90°, sorted by position:
hkl 2 2 0, 2θ = 23.1°, rel. 25
hkl 3 0 1, 2θ = 25.9°, rel. 80
hkl 2 2 2, 2θ = 28.4°, rel. 64
hkl 3 1 2, 2θ = 30.7°, rel. 100
hkl 4 0 0, 2θ = 32.9°, rel. 22
hkl 5 3 0, 2θ = 48.8°, rel. 61
hkl 5 2 3, 2θ = 51.8°, rel. 52
hkl 5 3 4, 2θ = 60.1°, rel. 25
hkl 8 2 2, 2θ = 73.9°, rel. 18
hkl 7 0 5, 2θ = 75.1°, rel. 22

Cell and atoms:
```
data_Ac12Si6Ge
_chemical_formula_sum 'Ac24 Si12 Ge2'
_space_group_name_H-M_alt 'I m -3'
_space_group_IT_number 204
_space_group_name_Hall '-I 2 2 3'
_cell_length_a 10.8869
_cell_length_b 10.8869
_cell_length_c 10.8869
_cell_angle_alpha 90.00
_cell_angle_beta 90.00
_cell_angle_gamma 90.00
loop_
_atom_site_label
_atom_site_type_symbol
_atom_site_fract_x
_atom_site_fract_y
_atom_site_fract_z
Ac1 Ac 0.0000 0.2968 0.1890
Si1 Si 0.0000 0.1093 0.5000
Ge1 Ge 0.0000 0.0000 0.0000
```

=====

4.
The following is a simulated PXRD pattern of Ac7Si2Ge2. It was derived from a crystal structure in Alexandria, relaxed with GGA-PBE, using Cu Kα (weighted mean of Kα1 and Kα2).

Most intense lines, 2θ = 15–90°, sorted by position:
hkl 0 0 2, 2θ = 23.7°, rel. 22
hkl 2 2 0, 2θ = 24.2°, rel. 100
hkl 1 1 2, 2θ = 26.7°, rel. 41
hkl 0 2 2, 2θ = 28.4°, rel. 21
hkl 0 4 0, 2θ = 31.0°, rel. 46
hkl 2 2 2, 2θ = 34.2°, rel. 76
hkl 1 3 2, 2θ = 34.7°, rel. 23
hkl 4 0 0, 2θ = 37.8°, rel. 26
hkl 4 4 0, 2θ = 49.6°, rel. 24
hkl 2 2 4, 2θ = 54.9°, rel. 24

Cell and atoms:
```
data_Ac7Si2Ge2
_chemical_formula_sum 'Ac14 Si4 Ge4'
_space_group_name_H-M_alt 'C m m m'
_space_group_IT_number 65
_space_group_name_Hall '-C 2 2'
_cell_length_a 9.5246
_cell_length_b 11.5477
_cell_length_c 7.5071
_cell_angle_alpha 90.00
_cell_angle_beta 90.00
_cell_angle_gamma 90.00
loop_
_atom_site_label
_atom_site_type_symbol
_atom_site_fract_x
_atom_site_fract_y
_atom_site_fract_z
Ac1 Ac 0.0000 0.0000 0.0000
Ac2 Ac 0.0000 0.5000 0.2445
Ac3 Ac 0.2500 0.2500 0.2670
Si1 Si 0.0000 0.2719 0.0000
Ge1 Ge 0.2196 0.0000 0.5000
```

=====

5.
The following is a simulated PXRD pattern of Ac3Si4Ge4. It was derived from a crystal structure in Alexandria, relaxed with GGA-PBE, using Cu Kα (weighted mean of Kα1 and Kα2).

Most intense lines, 2θ = 15–90°, sorted by position:
hkl 0 1 3, 2θ = 20.3°, rel. 83
hkl 0 2 0, 2θ = 25.3°, rel. 78
hkl 1 1 2, 2θ = 25.7°, rel. 53
hkl 1 1 4, 2θ = 31.8°, rel. 100
hkl 0 0 6, 2θ = 32.1°, rel. 50
hkl 1 2 1, 2θ = 32.6°, rel. 91
hkl 2 0 0, 2θ = 39.8°, rel. 40
hkl 0 3 3, 2θ = 41.7°, rel. 34
hkl 1 2 5, 2θ = 42.2°, rel. 34
hkl 1 2 7, 2θ = 50.3°, rel. 27

Cell and atoms:
```
data_Ac3Si4Ge4
_chemical_formula_sum 'Ac6 Si8 Ge8'
_space_group_name_H-M_alt 'I m m m'
_space_group_IT_number 71
_space_group_name_Hall '-I 2 2'
_cell_length_a 4.5271
_cell_length_b 7.0508
_cell_length_c 16.7463
_cell_angle_alpha 90.00
_cell_angle_beta 90.00
_cell_angle_gamma 90.00
loop_
_atom_site_label
_atom_site_type_symbol
_atom_site_fract_x
_atom_site_fract_y
_atom_site_fract_z
Ac1 Ac 0.0000 0.0000 0.0000
Ac2 Ac 0.0000 0.5000 0.1587
Si1 Si 0.0000 0.3318 0.3606
Ge1 Ge 0.0000 0.0000 0.1928
Ge2 Ge 0.0000 0.1772 0.5000
```

=====

6.
The following is a simulated PXRD pattern of Ac5Si2Ge. It was derived from a crystal structure in Alexandria, relaxed with GGA-PBE, using Cu Kα (weighted mean of Kα1 and Kα2).

Most intense lines, 2θ = 15–90°, sorted by position:
hkl 2 1 1, 2θ = 24.7°, rel. 53
hkl 1 1 4, 2θ = 28.2°, rel. 28
hkl 2 1 3, 2θ = 29.9°, rel. 100
hkl 2 2 0, 2θ = 30.5°, rel. 21
hkl 2 0 4, 2θ = 32.1°, rel. 61
hkl 3 1 0, 2θ = 34.2°, rel. 48
hkl 4 1 1, 2θ = 45.5°, rel. 18
hkl 4 1 3, 2θ = 48.7°, rel. 30
hkl 2 1 7, 2θ = 49.0°, rel. 25
hkl 3 3 4, 2θ = 52.7°, rel. 30

Cell and atoms:
```
data_Ac5Si2Ge
_chemical_formula_sum 'Ac20 Si8 Ge4'
_space_group_name_H-M_alt 'I 4/m c m'
_space_group_IT_number 140
_space_group_name_Hall '-I 4 2c'
_cell_length_a 8.3003
_cell_length_b 8.3003
_cell_length_c 15.0479
_cell_angle_alpha 90.00
_cell_angle_beta 90.00
_cell_angle_gamma 90.00
loop_
_atom_site_label
_atom_site_type_symbol
_atom_site_fract_x
_atom_site_fract_y
_atom_site_fract_z
Ac1 Ac 0.0000 0.0000 0.0000
Ac2 Ac 0.1735 0.3265 0.1439
Si1 Si 0.1157 0.3843 0.5000
Ge1 Ge 0.0000 0.0000 0.2500
```

=====

Which formula does entry 3 have? Ac12Si6Ge